(1)
Diffraction record for TeSeCl3. The X-ray diffraction stick pattern is simulated, not measured: it uses DFT lattice parameters and positions (PBE) and Cu Ka.
No peak broadening, texture or thermal motion is included.

Main lines, most intense first (10 to 80 degrees two-theta):
d_spacing  2theta  Rel. int.
6.722  13.17  100
6.124  14.46  68
6.211  14.26  61
6.266  14.13  45
3.133  28.49  31
2.847  31.42  26
2.444  36.77  23
3.106  28.75  22
3.167  28.18  22
4.176  21.28  19

Structure:
a b c (Å): 7.779 7.779 15.966
angles (deg): 91.06 91.06 120.18
Fractional coordinates of all 20 atoms:
Te1 0.005 0.144 0.125
Te2 0.144 0.005 0.625
Te3 0.856 0.995 0.375
Te4 0.995 0.856 0.875
Se1 0.198 0.717 0.681
Se2 0.283 0.802 0.819
Se3 0.717 0.198 0.181
Se4 0.802 0.283 0.319
Cl1 0.044 0.778 0.497
Cl2 0.209 0.248 0.263
Cl3 0.222 0.956 0.003
Cl4 0.229 0.458 0.072
Cl5 0.248 0.209 0.763
Cl6 0.458 0.229 0.572
Cl7 0.542 0.771 0.428
Cl8 0.752 0.791 0.237
Cl9 0.771 0.542 0.928
Cl10 0.778 0.044 0.997
Cl11 0.791 0.752 0.737
Cl12 0.956 0.222 0.503

***

(2)
Diffraction record for Th2Se2Cl. The X-ray diffraction stick pattern is simulated, not measured: it uses DFT lattice parameters and positions (PBE) and Cu Ka.
No peak broadening, texture or thermal motion is included.

Main lines, most intense first (10 to 80 degrees two-theta):
d_spacing  2theta  Rel. int.
2.873  31.13  100
2.041  44.38  93
2.903  30.80  53
6.114  14.49  51
3.844  23.14  37
2.919  30.63  28
5.245  16.90  26
3.336  26.72  23
1.288  73.55  23
3.322  26.84  22

Structure:
a b c (Å): 7.065 7.065 7.065
angles (deg): 146.69 131.47 60.14
Fractional coordinates of all 5 atoms:
Th1 0.172 0.172 0.000
Th2 0.828 0.828 0.000
Se1 0.349 0.849 0.500
Se2 0.651 0.151 0.500
Cl1 0.000 0.500 0.500